Cr2O5: computed XRD peak list (Cu Ka), based on a DFT-relaxed cell (GGA+U, Alexandria).
Intensities are scaled so that the largest is 100.

Top 12 peaks for 5° ≤ 2θ ≤ 70°, by angle:
2θ/deg  d_spacing  intensity  h k l
13.76  6.434  100  0 1 1
19.07  4.654  13  0 0 2
22.63  3.930  35  1 1 1
26.25  3.395  19  1 0 2
26.90  3.314  17  1 2 0
27.73  3.217  16  0 2 2
28.13  3.172  31  1 1 2
28.59  3.122  38  1 2 1
34.08  2.631  13  1 0 3
35.25  2.546  13  0 2 3
45.72  1.984  13  1 4 1
56.73  1.623  13  2 3 3

Structure:
```
data_Cr2O5
_symmetry_space_group_name_H-M 'P 1'
_symmetry_Int_Tables_number 1
_cell_length_a 4.9628
_cell_length_b 8.9040
_cell_length_c 9.3078
_cell_angle_alpha 90.00
_cell_angle_beta 90.00
_cell_angle_gamma 90.00
loop_
_symmetry_equiv_pos_as_xyz
'x,y,z'
loop_
_atom_site_label
_atom_site_fract_x
_atom_site_fract_y
_atom_site_fract_z
_atom_site_occupancy
Cr1 0.1077 0.0298 0.2811 1
Cr2 0.1169 0.6593 0.9076 1
Cr3 0.3831 0.3407 0.4076 1
Cr4 0.3923 0.9702 0.7811 1
Cr5 0.6077 0.4702 0.7189 1
Cr6 0.6169 0.8407 0.0924 1
Cr7 0.8831 0.1593 0.5924 1
Cr8 0.8923 0.5298 0.2189 1
O1 0.0366 0.0111 0.4561 1
O2 0.0837 0.3113 0.5258 1
O3 0.1645 0.0985 0.7347 1
O4 0.1704 0.5094 0.3173 1
O5 0.2227 0.2041 0.2580 1
O6 0.2773 0.7959 0.7580 1
O7 0.3296 0.4906 0.8173 1
O8 0.3355 0.9015 0.2347 1
O9 0.4163 0.6887 0.0258 1
O10 0.4634 0.9889 0.9561 1
O11 0.5366 0.4889 0.5439 1
O12 0.5837 0.1887 0.4742 1
O13 0.6645 0.4015 0.2653 1
O14 0.6704 0.9906 0.6827 1
O15 0.7227 0.2959 0.7420 1
O16 0.7773 0.7041 0.2420 1
O17 0.8296 0.0094 0.1827 1
O18 0.8355 0.5985 0.7653 1
O19 0.9163 0.8113 0.9742 1
O20 0.9634 0.5111 0.0439 1
```